Tm4Si3Ir: calculated powder diffractogram (Cu Kα), based on a cell relaxed with PBE.
Neutral-atom scattering factors, no anomalous dispersion.

Cell and atoms:
```
data_Tm4Si3Ir
_cell_length_a 3.8055
_cell_length_b 4.1953
_cell_length_c 10.5241
_cell_angle_alpha 90.00
_cell_angle_beta 90.00
_cell_angle_gamma 90.00
_symmetry_space_group_name_H-M 'P m m 2'
_symmetry_Int_Tables_number 25
loop_
_symmetry_equiv_pos_as_xyz
'x,y,z'
'-x,-y,z'
'-x,y,z'
'x,-y,z'
loop_
_atom_site_label
_atom_site_type_symbol
_atom_site_fract_x
_atom_site_fract_y
_atom_site_fract_z
Tm1 Tm 0.0000 0.0000 0.0000
Tm2 Tm 0.0000 0.5000 0.4954
Tm3 Tm 0.5000 0.0000 0.2795
Tm4 Tm 0.5000 0.5000 0.7830
Si1 Si 0.0000 0.0000 0.7078
Si2 Si 0.0000 0.5000 0.2139
Si3 Si 0.5000 0.0000 0.5609
Ir1 Ir 0.5000 0.5000 0.0626
```

The 10 most intense peaks (2θ from 5° to 70°), most intense first:
(1 1 1), d 2.723, rel. 100.0
(0 1 3), d 2.691, rel. 47.5
(1 1 3), d 2.197, rel. 40.9
(0 0 1), d 10.524, rel. 32.6
(1 0 2), d 3.084, rel. 30.6
(0 0 4), d 2.631, rel. 26.6
(0 2 0), d 2.098, rel. 24.2
(2 1 3), d 1.554, rel. 18.2
(2 0 0), d 1.903, rel. 18.0
(1 0 4), d 2.164, rel. 17.1

SmDy2RuO8: calculated powder diffractogram (Cu Kα), based on a cell relaxed with PBE.
Neutral-atom scattering factors, no anomalous dispersion.

Cell and atoms:
```
data_SmDy2RuO8
_cell_length_a 7.1595
_cell_length_b 7.1641
_cell_length_c 6.8222
_cell_angle_alpha 90.00
_cell_angle_beta 90.00
_cell_angle_gamma 90.00
_symmetry_space_group_name_H-M 'C m m m'
_symmetry_Int_Tables_number 65
_symmetry_space_group_name_Hall '-C 2 2'
loop_
_atom_site_label
_atom_site_type_symbol
_atom_site_fract_x
_atom_site_fract_y
_atom_site_fract_z
Sm1 Sm 0.0000 0.0000 0.0000
Dy1 Dy 0.0000 0.5000 0.2494
Ru1 Ru 0.0000 0.0000 0.5000
O1 O 0.0000 0.2653 0.5000
O2 O 0.0000 0.3130 0.0000
O3 O 0.1848 0.0000 0.2938
```

The 10 most intense peaks (2θ from 5° to 70°), most intense first:
(2 0 0), d 3.581, rel. 100.0
(1 1 2), d 2.829, rel. 88.2
(3 1 2), d 1.887, rel. 68.4
(2 2 0), d 2.532, rel. 25.4
(3 3 2), d 1.513, rel. 19.5
(2 0 4), d 1.540, rel. 16.8
(0 4 0), d 1.790, rel. 16.7
(2 4 0), d 1.601, rel. 16.6
(2 2 4), d 1.415, rel. 9.9
(0 0 4), d 1.706, rel. 7.4

Pm7Cd2Rh: calculated powder diffractogram (Cu Kα), based on a cell relaxed with PBE.
Neutral-atom scattering factors, no anomalous dispersion.

Cell and atoms:
```
data_Pm7Cd2Rh
_cell_length_a 11.1021
_cell_length_b 11.1021
_cell_length_c 11.1021
_cell_angle_alpha 90.00
_cell_angle_beta 90.00
_cell_angle_gamma 90.00
_symmetry_space_group_name_H-M 'F m -3 m'
_symmetry_Int_Tables_number 225
_symmetry_space_group_name_Hall '-F 4 2 3'
loop_
_atom_site_label
_atom_site_type_symbol
_atom_site_fract_x
_atom_site_fract_y
_atom_site_fract_z
Pm1 Pm 0.0000 0.0000 0.0000
Pm2 Pm 0.0000 0.0000 0.2572
Cd1 Cd 0.2500 0.2500 0.2500
Rh1 Rh 0.0000 0.0000 0.5000
```

The 10 most intense peaks (2θ from 5° to 70°), most intense first:
(4 0 0), d 2.776, rel. 100.0
(2 2 2), d 3.205, rel. 77.3
(4 4 0), d 1.963, rel. 72.5
(6 2 2), d 1.674, rel. 34.0
(2 0 0), d 5.551, rel. 30.4
(4 4 4), d 1.602, rel. 25.0
(4 2 0), d 2.482, rel. 15.5
(8 0 0), d 1.388, rel. 11.4
(2 2 0), d 3.925, rel. 9.9
(6 0 0), d 1.850, rel. 8.2

KGe2BSe6: calculated powder diffractogram (Cu Kα), based on a cell relaxed with PBE.
Neutral-atom scattering factors, no anomalous dispersion.

Cell and atoms:
```
data_KGe2BSe6
_cell_length_a 13.5774
_cell_length_b 14.0013
_cell_length_c 7.2694
_cell_angle_alpha 90.00
_cell_angle_beta 118.34
_cell_angle_gamma 90.00
_symmetry_space_group_name_H-M 'C 1 2/c 1'
_symmetry_Int_Tables_number 15
loop_
_symmetry_equiv_pos_as_xyz
'x,y,z'
'-x,-y,-z'
'-x,y,-z+1/2'
'x,-y,z+1/2'
'x+1/2,y+1/2,z'
'-x+1/2,-y+1/2,-z'
'-x+1/2,y+1/2,-z+1/2'
'x+1/2,-y+1/2,z+1/2'
loop_
_atom_site_label
_atom_site_type_symbol
_atom_site_fract_x
_atom_site_fract_y
_atom_site_fract_z
K1 K 0.0000 0.1062 0.2500
Ge1 Ge 0.1929 0.4138 0.1225
B1 B 0.0000 0.2289 0.7500
Se1 Se 0.0389 0.3027 0.0144
Se2 Se 0.1058 0.1154 0.7552
Se3 Se 0.1755 0.4346 0.4472
```

The 10 most intense peaks (2θ from 5° to 70°), most intense first:
(0 2 1), d 4.723, rel. 100.0
(2 2 0), d 4.548, rel. 81.6
(1 1 -2), d 3.430, rel. 52.1
(3 1 0), d 3.831, rel. 37.3
(5 1 0), d 2.357, rel. 37.2
(4 2 -1), d 3.054, rel. 33.9
(5 3 -1), d 2.335, rel. 33.4
(1 5 0), d 2.726, rel. 29.4
(1 3 -2), d 2.819, rel. 24.2
(6 4 -3), d 1.741, rel. 23.1

La2Cu3Pt: calculated powder diffractogram (Cu Kα), based on a cell relaxed with PBE.
Neutral-atom scattering factors, no anomalous dispersion.

Cell and atoms:
```
data_La2Cu3Pt
_cell_length_a 3.8958
_cell_length_b 4.3555
_cell_length_c 7.5878
_cell_angle_alpha 90.00
_cell_angle_beta 90.00
_cell_angle_gamma 90.00
_symmetry_space_group_name_H-M 'P m m 2'
_symmetry_Int_Tables_number 25
loop_
_symmetry_equiv_pos_as_xyz
'x,y,z'
'-x,-y,z'
'-x,y,z'
'x,-y,z'
loop_
_atom_site_label
_atom_site_type_symbol
_atom_site_fract_x
_atom_site_fract_y
_atom_site_fract_z
La1 La 0.0000 0.0000 0.0000
La2 La 0.0000 0.5000 0.4842
Cu1 Cu 0.5000 0.0000 0.6701
Cu2 Cu 0.5000 0.5000 0.1456
Cu3 Cu 0.5000 0.5000 0.8226
Pt1 Pt 0.5000 0.0000 0.3288
```

The 10 most intense peaks (2θ from 5° to 70°), most intense first:
(1 1 1), d 2.714, rel. 100.0
(0 1 3), d 2.187, rel. 34.0
(2 1 3), d 1.455, rel. 18.1
(0 2 0), d 2.178, rel. 17.2
(1 2 2), d 1.700, rel. 15.9
(0 0 1), d 7.588, rel. 12.2
(2 0 0), d 1.948, rel. 12.2
(2 2 0), d 1.452, rel. 9.4
(1 0 4), d 1.706, rel. 8.4
(1 1 5), d 1.345, rel. 6.7

MgCo5: calculated powder diffractogram (Cu Kα), based on a cell relaxed with PBE.
Neutral-atom scattering factors, no anomalous dispersion.

Cell and atoms:
```
data_MgCo5
_cell_length_a 6.6732
_cell_length_b 6.6732
_cell_length_c 6.6732
_cell_angle_alpha 90.00
_cell_angle_beta 90.00
_cell_angle_gamma 90.00
_symmetry_space_group_name_H-M 'F -4 3 m'
_symmetry_Int_Tables_number 216
_symmetry_space_group_name_Hall 'F -4 2 3'
loop_
_atom_site_label
_atom_site_type_symbol
_atom_site_fract_x
_atom_site_fract_y
_atom_site_fract_z
Mg1 Mg 0.0000 0.0000 0.0000
Co1 Co 0.1250 0.1250 0.3750
Co2 Co 0.2500 0.2500 0.7500
```

The 9 most intense peaks (2θ from 5° to 70°), most intense first:
(3 1 1), d 2.012, rel. 100.0
(2 2 2), d 1.926, rel. 51.4
(1 1 1), d 3.853, rel. 26.8
(2 2 0), d 2.359, rel. 18.0
(4 0 0), d 1.668, rel. 9.5
(4 2 2), d 1.362, rel. 5.6
(3 3 1), d 1.531, rel. 4.9
(2 0 0), d 3.337, rel. 4.1
(4 2 0), d 1.492, rel. 1.3